Diffraction record for TmPaS4. The powder X-ray diffraction pattern is calculated, not measured: it uses a GGA-PBE-relaxed structure and Cu Kα X-rays.
Lines closer than 0.1° are merged.

Crystal structure
```
TmPaS4
1.0
8.7132 0.0000 0.0000
0.0000 8.8768 0.0000
0.0000 0.0000 4.1236
Tm Pa S
2 2 8
Direct
0.0000 0.0000 0.0000
0.5000 0.5000 0.0000
0.0000 0.5000 0.5000
0.5000 0.0000 0.5000
0.0000 0.3097 0.0000
0.0000 0.6903 0.0000
0.1992 0.0000 0.5000
0.3008 0.5000 0.5000
0.5000 0.1903 0.0000
0.5000 0.8097 0.0000
0.6992 0.5000 0.5000
0.8008 0.0000 0.5000
```

The 10 most intense peaks (15° ≤ 2θ ≤ 90°), most intense first:
d/Å	I (rel.)
3.437	100
4.438	66
4.357	62
2.317	55
2.294	51
1.852	38
3.109	27
2.062	14
2.178	14
1.955	14

---

Diffraction record for La3TbSm2. The powder X-ray diffraction pattern is calculated, not measured: it uses a GGA-PBE-relaxed structure and Cu Kα X-rays.
Lines closer than 0.1° are merged.

Crystal structure
```
La3TbSm2
1.0
6.7920 0.0000 0.0000
0.0000 18.2353 0.0000
0.0000 0.0000 3.4808
La Tb Sm
6 2 4
Direct
0.0000 0.0000 0.0000
0.2301 0.3156 0.0000
0.2699 0.8156 0.5000
0.5000 0.5000 0.5000
0.7301 0.1844 0.5000
0.7699 0.6844 0.0000
0.0000 0.5000 0.0000
0.5000 0.0000 0.5000
0.2276 0.1475 0.5000
0.2724 0.6475 0.0000
0.7276 0.3525 0.0000
0.7724 0.8525 0.5000
```

The 10 most intense peaks (15° ≤ 2θ ≤ 90°), most intense first:
d/Å	I (rel.)
3.182	100
3.039	78
3.021	76
2.257	74
2.723	67
2.933	42
1.697	41
2.562	39
3.419	38
2.774	30

---

Diffraction record for Pm5GaPd2. The powder X-ray diffraction pattern is calculated, not measured: it uses a GGA-PBE-relaxed structure and Cu Kα X-rays.
Lines closer than 0.1° are merged.

Crystal structure
```
Pm5GaPd2
1.0
-3.9890 3.9890 6.7206
3.9890 -3.9890 6.7206
3.9890 3.9890 -6.7206
Pm Ga Pd
10 2 4
Direct
0.0000 0.0000 0.0000
0.0163 0.5163 0.8224
0.1938 0.0163 0.5000
0.3062 0.8062 0.8224
0.4837 0.3062 0.5000
0.5000 0.5000 0.0000
0.5163 0.6938 0.5000
0.6938 0.1938 0.1776
0.8062 0.9837 0.5000
0.9837 0.4837 0.1776
0.2500 0.2500 0.0000
0.7500 0.7500 0.0000
0.1306 0.3694 0.5000
0.3694 0.8694 0.2388
0.6306 0.1306 0.7612
0.8694 0.6306 0.5000
```

The 10 most intense peaks (15° ≤ 2θ ≤ 90°), most intense first:
d/Å	I (rel.)
2.791	100
2.523	49
2.570	23
1.407	15
1.776	12
2.887	12
1.641	11
1.675	11
2.240	10
1.398	9